Starting from a cell relaxed with GGA-PBE, the XRD peak list of Fe2SiS4 was computed for copper Kα.
Intensities are scaled so that the largest is 100.

Top 8 peaks for 10° ≤ 2θ ≤ 80°, in order of rising 2θ:
Position (°2θ), I/Imax
22.32, 70
31.16, 50
34.81, 100
44.19, 21
45.56, 99
54.28, 69
60.08, 26
73.50, 21

Structural model:
```
14
Lattice="6.760 0.000 0.000 -3.380 5.855 0.000 0.000 0.000 5.432" Properties=species:S:1:pos:R:3 pbc="T T T"
Fe 0.000 0.000 0.000
Fe -1.690 2.927 2.716
Fe 3.380 0.000 2.716
Fe 1.690 2.927 2.716
Si 0.000 3.903 0.453
Si 3.380 1.952 4.980
S 0.000 1.964 1.372
S -1.679 4.873 1.372
S 0.000 3.903 3.731
S 1.701 0.982 4.061
S 1.679 4.873 1.372
S 3.380 1.952 1.701
S 5.059 0.982 4.061
S 3.380 3.891 4.061
```

---

Starting from a cell relaxed with GGA-PBE, the XRD peak list of Fe2SiS4 was computed for copper Kα.
Intensities are scaled so that the largest is 100.

Top 8 peaks for 10° ≤ 2θ ≤ 80°, in order of rising 2θ:
Position (°2θ), I/Imax
16.12, 72
34.30, 48
34.63, 100
45.02, 33
45.14, 64
53.50, 53
54.59, 26
59.63, 27

Structural model:
```
28
Lattice="5.498 0.000 0.000 0.000 6.724 0.000 -0.103 0.000 11.942" Properties=species:S:1:pos:R:3 pbc="T T T"
Fe 0.000 0.000 0.000
Fe -0.051 0.000 5.971
Fe 5.471 1.751 2.876
Fe -0.077 1.751 9.065
Fe -0.051 3.362 5.971
Fe 5.471 4.973 2.876
Fe -0.077 4.973 9.065
Fe 2.749 3.362 0.000
Si 2.206 3.362 3.911
Si 2.201 0.000 9.983
Si 3.193 0.000 1.958
Si 3.189 3.362 8.031
S 1.010 0.000 1.974
S 1.033 3.362 7.941
S 1.122 0.000 8.094
S 1.155 1.725 4.876
S 1.155 5.000 4.876
S 1.276 1.671 10.982
S 1.276 5.053 10.982
S 1.380 3.362 1.935
S 4.014 3.362 10.006
S 4.119 1.671 0.960
S 4.119 5.053 0.960
S 4.240 1.725 7.066
S 4.240 5.000 7.066
S 4.273 0.000 3.847
S 4.362 3.362 4.001
S 4.385 0.000 9.968
```

---

Starting from a cell relaxed with GGA-PBE, the XRD peak list of Y6FeSi2S14 was computed for copper Kα.
Intensities are scaled so that the largest is 100.

Top 8 peaks for 10° ≤ 2θ ≤ 80°, in order of rising 2θ:
Position (°2θ), I/Imax
23.93, 49
26.13, 100
35.25, 40
36.37, 51
37.92, 74
38.19, 65
41.27, 67
42.50, 42

Structural model:
```
23
Lattice="9.880 0.000 0.000 -4.940 8.556 0.000 0.000 0.000 5.647" Properties=species:S:1:pos:R:3 pbc="T T T"
Y -2.574 4.829 0.000
Y 2.576 0.866 2.796
Y 2.045 3.912 0.000
Y 0.529 8.371 0.000
Y 4.402 5.892 2.796
Y 7.842 1.798 2.796
Fe 4.940 2.852 1.486
Si 0.000 0.000 5.154
Si 0.000 5.704 2.325
S 0.000 0.000 1.608
S -3.435 7.290 4.307
S 0.344 1.936 4.307
S -0.320 3.769 1.471
S -1.516 6.949 1.471
S 0.000 5.704 4.425
S 3.305 1.493 0.134
S 2.926 3.580 2.839
S 1.836 6.395 1.471
S 5.317 0.744 2.839
S 4.581 4.947 0.134
S 3.091 7.886 4.307
S 6.934 2.116 0.134
S 6.577 4.232 2.839
```